This entry pairs a crystal structure of BaLi2MgHg2 with its simulated XRD peak list. Radiation: copper Kα. Structure: a crystal structure in Alexandria, relaxed with GGA-PBE.
Kinematic intensities with the Lorentz-polarization factor, no thermal factor.

Peak list (8 most intense, 5° ≤ 2θ ≤ 70°, in order of falling intensity)
hkl, Position (°2θ), Rel. int.
0 1 1, 24.20, 100
1 0 2, 31.52, 57
1 1 0, 37.25, 41
1 1 3, 51.89, 22
2 0 1, 44.92, 20
1 2 1, 59.73, 18
0 2 2, 49.57, 16
2 1 2, 63.61, 15

Crystal structure
```
data_BaLi2MgHg2
_cell_length_a 4.8274
_cell_length_b 4.8274
_cell_length_c 7.7338
_cell_angle_alpha 90.00
_cell_angle_beta 90.00
_cell_angle_gamma 120.00
_symmetry_space_group_name_H-M 'P -3 m 1'
_symmetry_Int_Tables_number 164
_symmetry_space_group_name_Hall '-P 3 2"'
loop_
_atom_site_label
_atom_site_type_symbol
_atom_site_fract_x
_atom_site_fract_y
_atom_site_fract_z
Ba1 Ba 0.0000 0.0000 0.0000
Li1 Li 0.3333 0.6667 0.6638
Mg1 Mg 0.0000 0.0000 0.5000
Hg1 Hg 0.3333 0.6667 0.3075
```

=====

This entry pairs a crystal structure of GaBi2Pt3 with its simulated XRD peak list. Radiation: copper Kα. Structure: a crystal structure in Alexandria, relaxed with GGA-PBE.
Kinematic intensities with the Lorentz-polarization factor, no thermal factor.

Peak list (8 most intense, 5° ≤ 2θ ≤ 70°, in order of falling intensity)
hkl, Position (°2θ), Rel. int.
3 1 2, 40.98, 100
3 1 1, 29.77, 85
3 3 0, 42.61, 82
0 2 2, 40.15, 78
0 2 1, 28.67, 39
5 1 0, 39.12, 32
3 1 0, 25.08, 26
0 0 4, 66.66, 26

Crystal structure
```
data_GaBi2Pt3
_cell_length_a 12.100
_cell_length_b 7.484
_cell_length_c 5.615
_cell_angle_alpha 90.00
_cell_angle_beta 90.00
_cell_angle_gamma 90.00
_symmetry_space_group_name_H-M 'C m c 21'
_symmetry_Int_Tables_number 36
loop_
_symmetry_equiv_pos_as_xyz
'x,y,z'
'-x,-y,z+1/2'
'-x,y,z'
'x,-y,z+1/2'
'x+1/2,y+1/2,z'
'-x+1/2,-y+1/2,z+1/2'
'-x+1/2,y+1/2,z'
'x+1/2,-y+1/2,z+1/2'
loop_
_atom_site_label
_atom_site_type_symbol
_atom_site_fract_x
_atom_site_fract_y
_atom_site_fract_z
Ga1 Ga 0.000 0.201 0.000
Bi1 Bi 0.176 0.330 0.511
Pt1 Pt 0.000 0.497 0.257
Pt2 Pt 0.131 0.003 0.254
```

=====

This entry pairs a crystal structure of P2C3 with its simulated XRD peak list. Radiation: copper Kα. Structure: a crystal structure in Alexandria, relaxed with GGA-PBE.
Kinematic intensities with the Lorentz-polarization factor, no thermal factor.

Peak list (8 most intense, 5° ≤ 2θ ≤ 70°, in order of falling intensity)
hkl, Position (°2θ), Rel. int.
0 0 1, 23.78, 100
1 1 0, 22.73, 93
1 1 1, 37.81, 36
3 1 -1, 44.21, 35
1 1 -2, 47.35, 35
2 2 -1, 45.62, 33
1 1 -1, 27.77, 26
2 0 1, 46.46, 25

Crystal structure
```
data_P2C3
_cell_length_a 6.731
_cell_length_b 5.152
_cell_length_c 4.186
_cell_angle_alpha 90.00
_cell_angle_beta 116.67
_cell_angle_gamma 90.00
_symmetry_space_group_name_H-M 'C 1 m 1'
_symmetry_Int_Tables_number 8
loop_
_symmetry_equiv_pos_as_xyz
'x,y,z'
'x,-y,z'
'x+1/2,y+1/2,z'
'x+1/2,-y+1/2,z'
loop_
_atom_site_label
_atom_site_type_symbol
_atom_site_fract_x
_atom_site_fract_y
_atom_site_fract_z
P1 P 0.000 0.000 0.000
P2 P 0.224 0.000 0.636
C1 C 0.116 0.245 0.826
C2 C 0.202 0.500 0.860
```

=====

This entry pairs a crystal structure of PaCdGeO with its simulated XRD peak list. Radiation: copper Kα. Structure: a crystal structure in Alexandria, relaxed with GGA-PBE.
Kinematic intensities with the Lorentz-polarization factor, no thermal factor.

Peak list (8 most intense, 5° ≤ 2θ ≤ 70°, in order of falling intensity)
hkl, Position (°2θ), Rel. int.
1 0 2, 29.71, 100
1 1 2, 37.31, 79
1 1 1, 33.02, 62
2 0 3, 54.91, 57
2 0 0, 45.09, 49
1 1 4, 51.60, 28
0 0 3, 29.59, 27
1 0 1, 24.22, 27

Crystal structure
```
data_PaCdGeO
_cell_length_a 4.021
_cell_length_b 4.021
_cell_length_c 9.056
_cell_angle_alpha 90.00
_cell_angle_beta 90.00
_cell_angle_gamma 90.00
_symmetry_space_group_name_H-M 'P 4/n m m'
_symmetry_Int_Tables_number 129
loop_
_symmetry_equiv_pos_as_xyz
'x,y,z'
'-x,-y,-z'
'-y+1/2,x,z'
'y+1/2,-x,-z'
'-x+1/2,-y+1/2,z'
'x+1/2,y+1/2,-z'
'y,-x+1/2,z'
'-y,x+1/2,-z'
'x+1/2,-y,-z'
'-x+1/2,y,z'
'-y,-x,-z'
'y,x,z'
'-x,y+1/2,-z'
'x,-y+1/2,z'
'y+1/2,x+1/2,-z'
'-y+1/2,-x+1/2,z'
loop_
_atom_site_label
_atom_site_type_symbol
_atom_site_fract_x
_atom_site_fract_y
_atom_site_fract_z
Pa1 Pa 0.250 0.250 0.142
Cd1 Cd 0.250 0.750 0.500
Ge1 Ge 0.250 0.250 0.719
O1 O 0.250 0.750 0.000
```

=====

This entry pairs a crystal structure of GdH3 with its simulated XRD peak list. Radiation: copper Kα. Structure: a crystal structure in Alexandria, relaxed with GGA-PBE.
Kinematic intensities with the Lorentz-polarization factor, no thermal factor.

Peak list (8 most intense, 5° ≤ 2θ ≤ 70°, in order of falling intensity)
hkl, Position (°2θ), Rel. int.
1 1 1, 31.02, 100
0 0 2, 26.87, 33
1 1 3, 50.12, 28
3 0 2, 57.05, 24
1 1 0, 27.88, 22
3 0 0, 49.32, 20
1 1 2, 39.10, 18
2 2 1, 59.41, 16

Crystal structure
```
data_GdH3
_cell_length_a 6.4011
_cell_length_b 6.4011
_cell_length_c 6.6372
_cell_angle_alpha 90.00
_cell_angle_beta 90.00
_cell_angle_gamma 120.00
_symmetry_space_group_name_H-M 'P -3 c 1'
_symmetry_Int_Tables_number 165
_symmetry_space_group_name_Hall '-P 3 2"c'
loop_
_atom_site_label
_atom_site_type_symbol
_atom_site_fract_x
_atom_site_fract_y
_atom_site_fract_z
Gd1 Gd 0.0000 0.3359 0.2500
H1 H 0.0000 0.0000 0.2500
H2 H 0.0237 0.3465 0.9065
H3 H 0.3333 0.6667 0.1843
```

=====

This entry pairs a crystal structure of Ac6Tl2HN with its simulated XRD peak list. Radiation: copper Kα. Structure: a crystal structure in Alexandria, relaxed with GGA-PBE.
Kinematic intensities with the Lorentz-polarization factor, no thermal factor.

Peak list (8 most intense, 5° ≤ 2θ ≤ 70°, in order of falling intensity)
hkl, Position (°2θ), Rel. int.
2 2 0, 28.77, 100
2 0 2, 33.35, 53
4 2 2, 56.82, 46
4 0 0, 47.88, 39
4 4 0, 59.60, 14
0 8 0, 69.98, 2
0 3 3, 43.77, 1
0 1 1, 14.27, 1

Crystal structure
```
data_Ac6Tl2HN
_cell_length_a 7.597
_cell_length_b 10.755
_cell_length_c 7.597
_cell_angle_alpha 90.00
_cell_angle_beta 90.00
_cell_angle_gamma 90.00
_symmetry_space_group_name_H-M 'P m m n'
_symmetry_Int_Tables_number 59
loop_
_symmetry_equiv_pos_as_xyz
'x,y,z'
'-x,-y,-z'
'-x+1/2,-y+1/2,z'
'x+1/2,y+1/2,-z'
'x+1/2,-y,-z'
'-x+1/2,y,z'
'-x,y+1/2,-z'
'x,-y+1/2,z'
loop_
_atom_site_label
_atom_site_type_symbol
_atom_site_fract_x
_atom_site_fract_y
_atom_site_fract_z
Ac1 Ac 0.006 0.250 0.006
Ac2 Ac 0.006 0.250 0.494
Ac3 Ac 0.250 0.006 0.250
Tl1 Tl 0.250 0.000 0.750
H1 H 0.250 0.750 0.250
N1 N 0.250 0.250 0.250
```

=====

This entry pairs a crystal structure of Th2Hg3Pb3 with its simulated XRD peak list. Radiation: copper Kα. Structure: a crystal structure in Alexandria, relaxed with GGA-PBE.
Kinematic intensities with the Lorentz-polarization factor, no thermal factor.

Peak list (8 most intense, 5° ≤ 2θ ≤ 70°, in order of falling intensity)
hkl, Position (°2θ), Rel. int.
1 1 2, 32.39, 100
0 2 0, 37.10, 18
2 0 0, 37.41, 17
0 0 4, 38.20, 16
1 3 2, 63.92, 15
3 1 2, 64.33, 14
1 1 6, 65.40, 14
2 2 4, 67.80, 12

Crystal structure
```
data_Th2Hg3Pb3
_cell_length_a 4.808
_cell_length_b 4.846
_cell_length_c 9.425
_cell_angle_alpha 90.00
_cell_angle_beta 90.00
_cell_angle_gamma 90.00
_symmetry_space_group_name_H-M 'P m m m'
_symmetry_Int_Tables_number 47
loop_
_symmetry_equiv_pos_as_xyz
'x,y,z'
'-x,-y,-z'
'-x,-y,z'
'x,y,-z'
'x,-y,-z'
'-x,y,z'
'-x,y,-z'
'x,-y,z'
loop_
_atom_site_label
_atom_site_type_symbol
_atom_site_fract_x
_atom_site_fract_y
_atom_site_fract_z
Th1 Th 0.000 0.000 0.250
Hg1 Hg 0.000 0.500 0.000
Hg2 Hg 0.500 0.500 0.243
Pb1 Pb 0.000 0.500 0.500
Pb2 Pb 0.500 0.000 0.000
Pb3 Pb 0.500 0.000 0.500
```

=====

This entry pairs a crystal structure of SrDy3Hg6 with its simulated XRD peak list. Radiation: copper Kα. Structure: a crystal structure in Alexandria, relaxed with GGA-PBE.
Kinematic intensities with the Lorentz-polarization factor, no thermal factor.

Peak list (8 most intense, 5° ≤ 2θ ≤ 70°, in order of falling intensity)
hkl, Position (°2θ), Rel. int.
1 1 3, 33.92, 100
3 1 -1, 33.58, 100
0 2 0, 34.25, 53
2 0 -4, 33.36, 53
2 2 -4, 48.56, 38
1 3 3, 61.12, 19
3 3 -1, 60.90, 19
1 1 -7, 60.19, 17

Crystal structure
```
data_SrDy3Hg6
_cell_length_a 9.306
_cell_length_b 5.236
_cell_length_c 11.336
_cell_angle_alpha 90.00
_cell_angle_beta 106.67
_cell_angle_gamma 90.00
_symmetry_space_group_name_H-M 'P 1 21/m 1'
_symmetry_Int_Tables_number 11
loop_
_symmetry_equiv_pos_as_xyz
'x,y,z'
'-x,-y,-z'
'-x,y+1/2,-z'
'x,-y+1/2,z'
loop_
_atom_site_label
_atom_site_type_symbol
_atom_site_fract_x
_atom_site_fract_y
_atom_site_fract_z
Sr1 Sr 0.062 0.250 0.388
Dy1 Dy 0.229 0.250 0.005
Dy2 Dy 0.357 0.750 0.809
Dy3 Dy 0.486 0.250 0.615
Hg1 Hg 0.065 0.750 0.909
Hg2 Hg 0.148 0.750 0.206
Hg3 Hg 0.186 0.250 0.704
Hg4 Hg 0.271 0.750 0.526
Hg5 Hg 0.359 0.250 0.291
Hg6 Hg 0.458 0.750 0.092
```

=====

This entry pairs a crystal structure of La5PmPd2 with its simulated XRD peak list. Radiation: copper Kα. Structure: a crystal structure in Alexandria, relaxed with GGA-PBE.
Kinematic intensities with the Lorentz-polarization factor, no thermal factor.

Peak list (8 most intense, 5° ≤ 2θ ≤ 70°, in order of falling intensity)
hkl, Position (°2θ), Rel. int.
1 1 4, 29.77, 100
0 4 4, 33.61, 57
1 3 1, 30.83, 38
1 3 4, 35.88, 31
0 4 3, 31.20, 27
1 7 0, 55.04, 27
1 3 0, 30.46, 26
2 0 0, 44.94, 26

Crystal structure
```
data_La5PmPd2
_cell_length_a 4.034
_cell_length_b 12.829
_cell_length_c 19.183
_cell_angle_alpha 90.00
_cell_angle_beta 90.00
_cell_angle_gamma 90.00
_symmetry_space_group_name_H-M 'C m c m'
_symmetry_Int_Tables_number 63
_symmetry_space_group_name_Hall '-C 2c 2'
loop_
_atom_site_label
_atom_site_type_symbol
_atom_site_fract_x
_atom_site_fract_y
_atom_site_fract_z
La1 La 0.000 0.066 0.117
La2 La 0.000 0.357 0.750
La3 La 0.000 0.358 0.038
Pm1 Pm 0.000 0.373 0.250
Pd1 Pd 0.000 0.216 0.633
```

=====

This entry pairs a crystal structure of LaNdCl with its simulated XRD peak list. Radiation: copper Kα. Structure: a crystal structure in Alexandria, relaxed with GGA-PBE.
Kinematic intensities with the Lorentz-polarization factor, no thermal factor.

Peak list (8 most intense, 5° ≤ 2θ ≤ 70°, in order of falling intensity)
hkl, Position (°2θ), Rel. int.
5 1 -4, 30.82, 100
1 1 2, 27.70, 93
5 1 -2, 27.83, 90
0 2 0, 29.99, 81
4 0 -4, 26.04, 42
4 0 0, 25.85, 38
1 3 2, 51.90, 35
4 2 -4, 40.13, 32

Crystal structure
```
data_LaNdCl
_cell_length_a 19.357
_cell_length_b 5.959
_cell_length_c 13.688
_cell_angle_alpha 90.00
_cell_angle_beta 134.58
_cell_angle_gamma 90.00
_symmetry_space_group_name_H-M 'C 1 c 1'
_symmetry_Int_Tables_number 9
loop_
_symmetry_equiv_pos_as_xyz
'x,y,z'
'x,-y,z+1/2'
'x+1/2,y+1/2,z'
'x+1/2,-y+1/2,z+1/2'
loop_
_atom_site_label
_atom_site_type_symbol
_atom_site_fract_x
_atom_site_fract_y
_atom_site_fract_z
La1 La 0.000 0.004 0.000
La2 La 0.303 0.026 0.746
La3 La 0.303 0.477 0.024
Nd1 Nd 0.099 0.012 0.356
Nd2 Nd 0.099 0.488 0.008
Nd3 Nd 0.499 0.002 0.664
Cl1 Cl 0.165 0.252 0.748
Cl2 Cl 0.305 0.028 0.533
Cl3 Cl 0.305 0.469 0.240
```

=====

This entry pairs a crystal structure of LiThOs with its simulated XRD peak list. Radiation: copper Kα. Structure: a crystal structure in Alexandria, relaxed with GGA-PBE.
Kinematic intensities with the Lorentz-polarization factor, no thermal factor.

Peak list (8 most intense, 5° ≤ 2θ ≤ 70°, in order of falling intensity)
hkl, Position (°2θ), Rel. int.
1 1 0, 31.56, 100
0 0 1, 11.58, 57
1 1 2, 39.59, 53
0 0 2, 23.28, 48
2 0 0, 45.24, 40
1 1 3, 48.02, 31
1 0 2, 32.37, 28
1 0 3, 42.03, 23

Crystal structure
```
data_LiThOs
_cell_length_a 4.009
_cell_length_b 4.009
_cell_length_c 7.642
_cell_angle_alpha 90.00
_cell_angle_beta 90.00
_cell_angle_gamma 90.00
_symmetry_space_group_name_H-M 'P 4/n m m'
_symmetry_Int_Tables_number 129
loop_
_symmetry_equiv_pos_as_xyz
'x,y,z'
'-x,-y,-z'
'-y+1/2,x,z'
'y+1/2,-x,-z'
'-x+1/2,-y+1/2,z'
'x+1/2,y+1/2,-z'
'y,-x+1/2,z'
'-y,x+1/2,-z'
'x+1/2,-y,-z'
'-x+1/2,y,z'
'-y,-x,-z'
'y,x,z'
'-x,y+1/2,-z'
'x,-y+1/2,z'
'y+1/2,x+1/2,-z'
'-y+1/2,-x+1/2,z'
loop_
_atom_site_label
_atom_site_type_symbol
_atom_site_fract_x
_atom_site_fract_y
_atom_site_fract_z
Li1 Li 0.250 0.750 0.000
Th1 Th 0.250 0.250 0.340
Os1 Os 0.250 0.250 0.731
```